Theoretical powder diffractogram of SrCa4Ac15 for a wavelength of 1.5418 Å, from a structure optimized by DFT (PBE).

Structural model:
```
SrCa4Ac15
1.0
5.6062 0.0000 0.0000
0.0000 5.6062 0.0000
0.0000 0.0000 28.2846
Sr Ca Ac
1 4 15
Direct
0.0000 0.0000 0.0000
0.0000 0.0000 0.2018
0.0000 0.0000 0.4006
0.0000 0.0000 0.5994
0.0000 0.0000 0.7982
0.0000 0.5000 0.1027
0.0000 0.5000 0.3012
0.0000 0.5000 0.5000
0.0000 0.5000 0.6988
0.0000 0.5000 0.8973
0.5000 0.0000 0.1027
0.5000 0.0000 0.3012
0.5000 0.0000 0.5000
0.5000 0.0000 0.6988
0.5000 0.0000 0.8973
0.5000 0.5000 0.0000
0.5000 0.5000 0.2022
0.5000 0.5000 0.4006
0.5000 0.5000 0.5994
0.5000 0.5000 0.7978
```

Top 10 peaks for 15 to 90 degrees two-theta, by angle:
two_theta  I/Imax
15.8  9.8
27.5  100.0
31.6  17.3
31.9  34.2
45.6  25.7
45.8  12.8
53.8  15.6
54.2  31.4
56.7  13.6
73.3  12.7



Theoretical powder diffractogram of Ca2Ac9Tb for a wavelength of 1.5418 Å, from a structure optimized by DFT (PBE).

Structural model:
```
Ca2Ac9Tb
1.0
5.5639 0.0000 0.0000
0.0000 5.5639 0.0000
0.0000 0.0000 16.6898
Ca Ac Tb
2 9 1
Direct
0.0000 0.0000 0.1683
0.0000 0.0000 0.8317
0.0000 0.5000 0.0000
0.0000 0.5000 0.3385
0.0000 0.5000 0.6615
0.5000 0.0000 0.0000
0.5000 0.0000 0.3385
0.5000 0.0000 0.6615
0.5000 0.5000 0.1683
0.5000 0.5000 0.5000
0.5000 0.5000 0.8317
0.0000 0.0000 0.5000
```

Top 10 peaks for 15 to 90 degrees two-theta, by angle:
two_theta  I/Imax
15.9  9.3
22.6  8.5
27.8  100.0
32.2  51.5
46.1  38.4
54.7  46.6
57.4  13.5
74.3  18.9
76.6  17.4
85.5  13.4



Theoretical powder diffractogram of CaAc5Tb for a wavelength of 1.5418 Å, from a structure optimized by DFT (PBE).

Structural model:
```
CaAc5Tb
1.0
5.8564 0.0000 0.0000
0.0000 5.8564 0.0000
0.0000 0.0000 9.2499
Ca Ac Tb
1 5 1
Direct
0.0000 0.0000 0.0000
0.0000 0.5000 0.2861
0.0000 0.5000 0.7139
0.5000 0.0000 0.2861
0.5000 0.0000 0.7139
0.5000 0.5000 0.0000
0.0000 0.0000 0.5000
```

Top 10 peaks for 15 to 90 degrees two-theta, by angle:
two_theta  I/Imax
17.9  22.1
21.5  13.7
28.9  100.0
30.5  46.8
36.3  12.0
43.7  17.8
50.3  15.7
53.3  40.2
72.2  16.4
87.5  12.1



Theoretical powder diffractogram of CaAc3Tb2 for a wavelength of 1.5418 Å, from a structure optimized by DFT (PBE).

Structural model:
```
CaAc3Tb2
1.0
-3.8064 9.3761 3.4222
3.8064 -9.3761 3.4222
3.8064 9.3761 -3.4222
Ca Ac Tb
2 6 4
Direct
0.2749 0.0249 0.2500
0.7251 0.9751 0.7500
0.1773 0.2433 0.9340
0.1908 0.7567 0.4340
0.2267 0.4767 0.7500
0.7733 0.5233 0.2500
0.8092 0.2433 0.5660
0.8227 0.7567 0.0660
0.3544 0.0000 0.8544
0.3544 0.5000 0.3544
0.6456 0.0000 0.1456
0.6456 0.5000 0.6456
```

Top 10 peaks for 15 to 90 degrees two-theta, by angle:
two_theta  I/Imax
27.1  29.7
27.2  44.5
27.8  53.7
28.6  43.9
30.4  100.0
32.4  29.1
36.1  29.3
36.6  28.9
48.8  36.6
53.1  32.9



Theoretical powder diffractogram of CaAcTbTm for a wavelength of 1.5418 Å, from a structure optimized by DFT (PBE).

Structural model:
```
CaAcTbTm
1.0
0.0000 4.1782 4.1782
4.1782 0.0000 4.1782
4.1782 4.1782 0.0000
Ca Ac Tb Tm
1 1 1 1
Direct
0.0000 0.0000 0.0000
0.2500 0.2500 0.2500
0.7500 0.7500 0.7500
0.5000 0.5000 0.5000
```

Top 10 peaks for 15 to 90 degrees two-theta, by angle:
two_theta  I/Imax
18.4  12.1
21.3  9.3
30.3  100.0
35.6  7.4
43.3  18.9
48.7  4.6
53.7  40.3
62.9  12.5
71.4  17.3
87.3  21.0



Theoretical powder diffractogram of CaAc3Tc for a wavelength of 1.5418 Å, from a structure optimized by DFT (PBE).

Structural model:
```
CaAc3Tc
1.0
-3.3481 8.1558 3.5982
3.3481 -8.1558 3.5982
3.3481 8.1558 -3.5982
Ca Ac Tc
2 6 2
Direct
0.2500 0.0000 0.2500
0.7500 0.0000 0.7500
0.0647 0.4378 0.6269
0.0786 0.0786 0.0000
0.4213 0.9213 0.5000
0.4352 0.5626 0.8726
0.6900 0.5626 0.1274
0.8109 0.4378 0.3731
0.7499 0.0001 0.2502
0.7499 0.4997 0.7498
```

Top 10 peaks for 15 to 90 degrees two-theta, by angle:
two_theta  I/Imax
21.1  12.7
26.6  25.8
28.5  100.0
28.7  38.0
33.8  16.8
36.7  20.8
41.1  17.5
47.0  12.5
48.2  24.2
54.8  12.6



Theoretical powder diffractogram of CaAc4Te5 for a wavelength of 1.5418 Å, from a structure optimized by DFT (PBE).

Structural model:
```
CaAc4Te5
1.0
2.3409 1.3515 19.2604
-2.3409 1.3515 19.2604
0.0000 -2.7030 19.2604
Ca Ac Te
1 4 5
Direct
0.0000 0.0000 0.0000
0.2011 0.2011 0.2011
0.3992 0.3992 0.3992
0.6008 0.6008 0.6008
0.7989 0.7989 0.7989
0.0988 0.0988 0.0988
0.3031 0.3031 0.3031
0.5000 0.5000 0.5000
0.6969 0.6969 0.6969
0.9012 0.9012 0.9012
```

Top 10 peaks for 15 to 90 degrees two-theta, by angle:
two_theta  I/Imax
26.9  100.0
38.3  38.4
38.5  39.3
47.5  21.4
55.4  13.3
62.4  17.7
62.7  18.7
69.4  13.5
88.3  7.1
88.6  7.6



Theoretical powder diffractogram of CaAc6Te8 for a wavelength of 1.5418 Å, from a structure optimized by DFT (PBE).

Structural model:
```
CaAc6Te8
1.0
0.0000 6.6678 6.6678
6.6678 0.0000 6.6678
6.6678 6.6678 0.0000
Ca Ac Te
1 6 8
Direct
0.0000 0.0000 0.0000
0.0000 0.0000 0.5000
0.0000 0.5000 0.0000
0.0000 0.5000 0.5000
0.5000 0.0000 0.0000
0.5000 0.0000 0.5000
0.5000 0.5000 0.0000
0.2439 0.2439 0.7561
0.2439 0.7561 0.2439
0.2439 0.7561 0.7561
0.2500 0.2500 0.2500
0.7500 0.7500 0.7500
0.7561 0.2439 0.2439
0.7561 0.2439 0.7561
0.7561 0.7561 0.2439
```

Top 10 peaks for 15 to 90 degrees two-theta, by angle:
two_theta  I/Imax
18.8  12.8
26.7  100.0
30.0  8.6
38.2  78.4
47.2  28.6
55.1  13.6
62.3  37.6
69.0  27.6
81.7  8.7
87.8  18.7



Theoretical powder diffractogram of CaAc2TmTe4 for a wavelength of 1.5418 Å, from a structure optimized by DFT (PBE).

Structural model:
```
CaAc2TmTe4
1.0
7.7499 0.0000 0.0000
0.0000 4.4663 0.0000
-2.5623 0.0000 7.7687
Ca Ac Tm Te
1 2 1 4
Direct
0.0000 0.0000 0.0000
0.0000 0.5000 0.5000
0.5000 0.0000 0.5000
0.5000 0.5000 0.0000
0.2469 0.5000 0.2244
0.2638 0.0000 0.7789
0.7362 0.0000 0.2211
0.7531 0.5000 0.7756
```

Top 10 peaks for 15 to 90 degrees two-theta, by angle:
two_theta  I/Imax
27.7  100.0
30.0  8.6
38.7  38.4
40.3  25.3
40.4  12.5
49.7  13.4
57.1  12.4
63.5  10.7
65.8  17.2
72.3  8.1



Theoretical powder diffractogram of CaAc3Tl5 for a wavelength of 1.5418 Å, from a structure optimized by DFT (PBE).

Structural model:
```
CaAc3Tl5
1.0
9.9792 0.0000 0.0000
-4.9896 8.6423 0.0000
0.0000 0.0000 7.0445
Ca Ac Tl
2 6 10
Direct
0.0000 0.0000 0.0000
0.0000 0.0000 0.5000
0.0000 0.3668 0.2500
0.0000 0.6332 0.7500
0.3668 0.0000 0.2500
0.3668 0.3668 0.7500
0.6332 0.0000 0.7500
0.6332 0.6332 0.2500
0.0000 0.2996 0.7500
0.0000 0.7004 0.2500
0.2996 0.0000 0.7500
0.2996 0.2996 0.2500
0.3333 0.6667 0.0000
0.3333 0.6667 0.5000
0.6667 0.3333 0.0000
0.6667 0.3333 0.5000
0.7004 0.0000 0.2500
0.7004 0.7004 0.7500
```

Top 10 peaks for 15 to 90 degrees two-theta, by angle:
two_theta  I/Imax
25.3  8.2
30.2  13.5
31.1  100.0
40.5  9.4
44.5  15.4
47.7  7.1
55.2  21.2
58.0  6.5
61.1  6.6
61.7  16.0



Theoretical powder diffractogram of Ca2AcTl5 for a wavelength of 1.5418 Å, from a structure optimized by DFT (PBE).

Structural model:
```
Ca2AcTl5
1.0
-2.6808 2.6808 8.5509
2.6808 -2.6808 8.5509
2.6808 2.6808 -8.5509
Ca Ac Tl
2 1 5
Direct
0.2482 0.2482 0.0000
0.7518 0.7518 0.0000
0.5000 0.5000 0.0000
0.0000 0.0000 0.0000
0.1325 0.6325 0.5000
0.3675 0.8675 0.5000
0.6325 0.1325 0.5000
0.8675 0.3675 0.5000
```

Top 10 peaks for 15 to 90 degrees two-theta, by angle:
two_theta  I/Imax
25.7  16.7
31.5  100.0
33.4  43.9
42.3  10.6
48.0  16.1
54.9  19.8
58.6  38.5
65.9  11.5
79.0  8.9
89.9  9.4



Theoretical powder diffractogram of CaAc3Tl2 for a wavelength of 1.5418 Å, from a structure optimized by DFT (PBE).

Structural model:
```
CaAc3Tl2
1.0
5.7347 0.0000 0.0000
0.0000 10.5223 0.0000
0.0000 0.0000 7.3641
Ca Ac Tl
2 6 4
Direct
0.0000 0.0419 0.0000
0.0000 0.9581 0.5000
0.0000 0.3201 0.6747
0.0000 0.6799 0.1747
0.5000 0.1673 0.2864
0.5000 0.4599 0.9674
0.5000 0.5401 0.4674
0.5000 0.8327 0.7864
0.0000 0.3459 0.1982
0.0000 0.6541 0.6982
0.5000 0.1510 0.7652
0.5000 0.8490 0.2652
```

Top 10 peaks for 15 to 90 degrees two-theta, by angle:
two_theta  I/Imax
24.2  16.2
28.8  29.6
29.6  29.7
29.9  100.0
30.1  73.1
31.2  53.4
38.8  24.3
43.5  21.2
53.4  18.2
54.7  18.9